No. 1
For BeCuO5F4, DFT lattice parameters and positions (GGA-PBE) gives the computed powder diffraction line list in this record (copper Kα).
No peak broadening, texture or thermal motion is included.

Structure:
Unit cell a=5.4609 b=6.2499 c=10.3174 alpha=92.74 beta=95.61 gamma=108.48
Element x y z (fractional)
Be1 0.0981 0.2062 0.2319
Be2 0.9019 0.7938 0.7681
Cu1 0.0000 0.0000 0.5000
Cu2 0.0000 0.5000 0.0000
O1 0.0071 0.6838 0.1528
O2 0.0707 0.3110 0.5679
O3 0.1425 0.6642 0.3813
O4 0.3429 0.8391 0.3959
O5 0.4620 0.5810 0.0127
O6 0.5380 0.4190 0.9873
O7 0.6571 0.1609 0.6041
O8 0.8575 0.3358 0.6187
O9 0.9293 0.6890 0.4321
O10 0.9929 0.3162 0.8472
F1 0.0506 0.7578 0.8927
F2 0.0843 0.9233 0.6741
F3 0.2026 0.9032 0.1563
F4 0.3659 0.3306 0.2744
F5 0.6341 0.6694 0.7256
F6 0.7974 0.0968 0.8437
F7 0.9157 0.0767 0.3259
F8 0.9494 0.2422 0.1073

Principal peaks in the range 10° ≤ 2θ ≤ 80°, in order of rising 2θ:
d [Å], I_rel
5.311, 41
5.138, 100
4.940, 28
3.067, 28
2.667, 16
2.582, 14

---

No. 2
For RbBeCu2F8, DFT lattice parameters and positions (GGA-PBE) gives the computed powder diffraction line list in this record (copper Kα).
No peak broadening, texture or thermal motion is included.

Structure:
Unit cell a=8.3435 b=8.3435 c=8.3435 alpha=34.64 beta=34.64 gamma=34.64
Element x y z (fractional)
Rb1 0.0000 0.0000 0.0000
Be1 0.5000 0.5000 0.5000
Cu1 0.2263 0.2263 0.2263
Cu2 0.7737 0.7737 0.7737
F1 0.1844 0.4221 0.7456
F2 0.2544 0.5779 0.8156
F3 0.3040 0.3040 0.3040
F4 0.4221 0.7456 0.1844
F5 0.5779 0.8156 0.2544
F6 0.6960 0.6960 0.6960
F7 0.7456 0.1844 0.4221
F8 0.8156 0.2544 0.5779

Principal peaks in the range 10° ≤ 2θ ≤ 80°, in order of rising 2θ:
d [Å], I_rel
3.471, 100
3.174, 26
2.612, 35
2.484, 48
2.020, 24
1.800, 21

---

No. 3
For BeCu2SF, DFT lattice parameters and positions (GGA-PBE) gives the computed powder diffraction line list in this record (copper Kα).
No peak broadening, texture or thermal motion is included.

Structure:
Unit cell a=3.7577 b=3.7577 c=5.5132 alpha=90.00 beta=90.00 gamma=90.00
Element x y z (fractional)
Be1 0.0000 0.0000 0.0000
Cu1 0.0000 0.5000 0.5000
Cu2 0.5000 0.0000 0.5000
S1 0.5000 0.5000 0.0000
F1 0.5000 0.5000 0.5000

Principal peaks in the range 10° ≤ 2θ ≤ 80°, in order of rising 2θ:
d [Å], I_rel
5.513, 100
2.757, 53
2.394, 90
1.879, 32
1.778, 20
1.553, 32

---

No. 4
For BeCuSbF, DFT lattice parameters and positions (GGA-PBE) gives the computed powder diffraction line list in this record (copper Kα).
No peak broadening, texture or thermal motion is included.

Structure:
Unit cell a=2.6972 b=3.0210 c=8.5022 alpha=90.51 beta=90.27 gamma=90.07
Element x y z (fractional)
Be1 0.0000 0.0000 0.0000
Cu1 0.5007 0.5060 0.1815
Sb1 0.0062 0.5089 0.4654
F1 0.4986 0.9977 0.8928

Principal peaks in the range 10° ≤ 2θ ≤ 80°, in order of rising 2θ:
d [Å], I_rel
8.502, 100
3.021, 24
2.855, 18
2.836, 39
2.571, 29
1.959, 20

---

No. 5
For Be2TlCuF8, DFT lattice parameters and positions (GGA-PBE) gives the computed powder diffraction line list in this record (copper Kα).
No peak broadening, texture or thermal motion is included.

Structure:
Unit cell a=4.8434 b=4.8434 c=7.2834 alpha=93.21 beta=93.21 gamma=68.33
Element x y z (fractional)
Be1 0.1411 0.1411 0.2651
Be2 0.8589 0.8589 0.7349
Tl1 0.5000 0.5000 0.0000
Cu1 0.5000 0.5000 0.5000
F1 0.2101 0.7310 0.7262
F2 0.2160 0.2160 0.0729
F3 0.2679 0.2679 0.4348
F4 0.2690 0.7899 0.2738
F5 0.7310 0.2101 0.7262
F6 0.7321 0.7321 0.5652
F7 0.7840 0.7840 0.9271
F8 0.7899 0.2690 0.2738

Principal peaks in the range 10° ≤ 2θ ≤ 80°, in order of rising 2θ:
d [Å], I_rel
7.267, 30
4.498, 100
3.998, 43
2.880, 42
2.775, 37
2.177, 35

---

No. 6
For Be9FeCu2, DFT lattice parameters and positions (GGA-PBE) gives the computed powder diffraction line list in this record (copper Kα).
No peak broadening, texture or thermal motion is included.

Structure:
Unit cell a=4.1814 b=4.1814 c=13.5920 alpha=90.00 beta=90.00 gamma=120.00
Element x y z (fractional)
Be1 0.0000 0.0000 0.0000
Be2 0.0000 0.0000 0.2500
Be3 0.0000 0.0000 0.5000
Be4 0.0000 0.0000 0.7500
Be5 0.1674 0.3347 0.1265
Be6 0.1674 0.3347 0.3735
Be7 0.1674 0.8326 0.1265
Be8 0.1674 0.8326 0.3735
Be9 0.3333 0.6667 0.2500
Be10 0.3347 0.1674 0.6265
Be11 0.3347 0.1674 0.8735
Be12 0.6653 0.8326 0.1265
Be13 0.6653 0.8326 0.3735
Be14 0.6667 0.3333 0.7500
Be15 0.8326 0.1674 0.6265
Be16 0.8326 0.1674 0.8735
Be17 0.8326 0.6653 0.6265
Be18 0.8326 0.6653 0.8735
Fe1 0.3333 0.6667 0.7500
Fe2 0.6667 0.3333 0.2500
Cu1 0.3333 0.6667 0.5336
Cu2 0.3333 0.6667 0.9664
Cu3 0.6667 0.3333 0.0336
Cu4 0.6667 0.3333 0.4664

Principal peaks in the range 10° ≤ 2θ ≤ 80°, in order of rising 2θ:
d [Å], I_rel
3.621, 55
3.499, 59
3.398, 40
2.174, 100
2.091, 73
1.781, 67

---

No. 7
For BeFeCuIr, DFT lattice parameters and positions (GGA-PBE) gives the computed powder diffraction line list in this record (copper Kα).
No peak broadening, texture or thermal motion is included.

Structure:
Unit cell a=4.7404 b=4.7404 c=4.7404 alpha=145.49 beta=129.87 gamma=62.29
Element x y z (fractional)
Be1 0.0000 0.0000 0.0000
Fe1 0.7666 0.2666 0.5000
Cu1 0.2203 0.7203 0.5000
Ir1 0.4953 0.4953 0.0000

Principal peaks in the range 10° ≤ 2θ ≤ 80°, in order of rising 2θ:
d [Å], I_rel
3.600, 66
2.657, 46
2.244, 40
2.029, 23
2.008, 26
2.003, 100

---

No. 8
For BeGaCu6, DFT lattice parameters and positions (GGA-PBE) gives the computed powder diffraction line list in this record (copper Kα).
No peak broadening, texture or thermal motion is included.

Structure:
Unit cell a=3.6709 b=3.6709 c=7.0221 alpha=90.00 beta=90.00 gamma=90.00
Element x y z (fractional)
Be1 0.0000 0.0000 0.0000
Ga1 0.0000 0.0000 0.5000
Cu1 0.0000 0.5000 0.2362
Cu2 0.0000 0.5000 0.7638
Cu3 0.5000 0.0000 0.2362
Cu4 0.5000 0.0000 0.7638
Cu5 0.5000 0.5000 0.0000
Cu6 0.5000 0.5000 0.5000

Principal peaks in the range 10° ≤ 2θ ≤ 80°, in order of rising 2θ:
d [Å], I_rel
3.253, 7
2.087, 100
1.835, 33
1.756, 13
1.298, 10
1.269, 17